Ac5La4: theoretical X-ray powder pattern (Cu Kα (λ = 1.5418 Å)), based on a crystal structure in Alexandria, relaxed with GGA-PBE.

Atomic structure:
```
9
Lattice="6.434 -5.837 0.000 6.434 5.837 0.000 -2.316 0.000 4.961" Properties=species:S:1:pos:R:3 pbc="T T T"
Ac 0.000 0.000 0.000
Ac 3.476 0.000 1.634
Ac 6.434 1.992 0.000
Ac 6.434 -1.992 0.000
Ac 7.077 0.000 3.327
La 7.041 -3.884 3.309
La 3.512 3.884 1.652
La 7.041 3.884 3.309
La 3.512 -3.884 1.652
```

Main lines, by intensity (10° ≤ 2θ ≤ 90°):
28.14 deg, I 1000; 32.56 deg, I 343; 46.74 deg, I 254; 55.41 deg, I 231; 32.71 deg, I 170; 46.87 deg, I 126; 55.65 deg, I 116; 55.52 deg, I 115; 77.64 deg, I 87; 75.43 deg, I 78; 86.76 deg, I 67; 58.17 deg, I 67


AcLa: theoretical X-ray powder pattern (Cu Kα (λ = 1.5418 Å)), based on a crystal structure in Alexandria, relaxed with GGA-PBE.

Atomic structure:
```
8
Lattice="5.443 0.000 0.000 0.000 5.443 0.000 0.000 0.000 11.045" Properties=species:S:1:pos:R:3 pbc="T T T"
Ac 0.000 1.361 4.142
Ac 0.000 4.082 6.903
Ac 2.721 1.361 1.381
Ac 2.721 4.082 9.664
La 0.000 1.361 9.664
La 0.000 4.082 1.381
La 2.721 1.361 6.903
La 2.721 4.082 4.142
```

Main lines, by intensity (10° ≤ 2θ ≤ 90°):
28.26 deg, I 1000; 32.91 deg, I 338; 55.96 deg, I 304; 46.87 deg, I 255; 32.42 deg, I 176; 55.32 deg, I 157; 58.46 deg, I 133; 75.64 deg, I 126; 47.23 deg, I 125; 87.61 deg, I 90; 18.17 deg, I 73; 76.18 deg, I 62


LiAc2La: theoretical X-ray powder pattern (Cu Kα (λ = 1.5418 Å)), based on a crystal structure in Alexandria, relaxed with GGA-PBE.

Atomic structure:
```
4
Lattice="6.171 0.000 0.000 0.000 6.171 0.000 0.000 0.000 3.953" Properties=species:S:1:pos:R:3 pbc="T T T"
Li 0.000 0.000 0.000
Ac 0.000 3.085 1.977
Ac 3.085 0.000 1.977
La 3.085 3.085 0.000
```

Main lines, by intensity (10° ≤ 2θ ≤ 90°):
30.51 deg, I 1000; 28.94 deg, I 572; 52.28 deg, I 455; 20.35 deg, I 345; 41.38 deg, I 222; 55.19 deg, I 194; 36.96 deg, I 160; 14.35 deg, I 155; 22.49 deg, I 137; 63.51 deg, I 128; 83.55 deg, I 122; 85.90 deg, I 115


LiAc4La: theoretical X-ray powder pattern (Cu Kα (λ = 1.5418 Å)), based on a crystal structure in Alexandria, relaxed with GGA-PBE.

Atomic structure:
```
6
Lattice="3.966 0.000 0.000 0.000 3.966 0.000 0.000 0.000 15.172" Properties=species:S:1:pos:R:3 pbc="T T T"
Li 0.000 0.000 0.000
Ac 0.000 0.000 4.931
Ac 0.000 0.000 10.241
Ac 1.983 1.983 2.139
Ac 1.983 1.983 13.034
La 1.983 1.983 7.586
```

Main lines, by intensity (10° ≤ 2θ ≤ 90°):
28.60 deg, I 1000; 31.91 deg, I 423; 54.85 deg, I 337; 23.18 deg, I 200; 48.47 deg, I 169; 45.75 deg, I 159; 25.34 deg, I 133; 53.56 deg, I 122; 43.96 deg, I 109; 35.50 deg, I 100; 73.04 deg, I 98; 59.21 deg, I 94


Li2AcLaSb2: theoretical X-ray powder pattern (Cu Kα (λ = 1.5418 Å)), based on a crystal structure in Alexandria, relaxed with GGA-PBE.

Atomic structure:
```
6
Lattice="4.687 0.000 0.000 -2.344 4.059 0.000 0.000 0.000 8.610" Properties=species:S:1:pos:R:3 pbc="T T T"
Li 0.000 2.706 2.042
Li 2.344 1.353 6.568
Ac 0.000 0.000 4.305
La 0.000 0.000 0.000
Sb 0.000 2.706 6.546
Sb 2.344 1.353 2.064
```

Main lines, by intensity (10° ≤ 2θ ≤ 90°):
30.26 deg, I 1000; 38.41 deg, I 517; 24.24 deg, I 364; 58.20 deg, I 279; 49.66 deg, I 255; 21.90 deg, I 250; 64.48 deg, I 233; 69.47 deg, I 199; 84.60 deg, I 111; 41.97 deg, I 106; 82.28 deg, I 106; 47.83 deg, I 72


LiAcLa2Te4: theoretical X-ray powder pattern (Cu Kα (λ = 1.5418 Å)), based on a crystal structure in Alexandria, relaxed with GGA-PBE.

Atomic structure:
```
8
Lattice="7.910 0.000 0.000 0.000 4.587 0.000 -2.655 0.000 7.558" Properties=species:S:1:pos:R:3 pbc="T T T"
Li 0.000 0.000 0.000
Ac 3.955 2.293 0.000
La -1.327 2.293 3.779
La 2.628 0.000 3.779
Te -0.111 0.000 5.666
Te 1.236 2.293 1.848
Te 5.367 0.000 1.892
Te 4.020 2.293 5.710
```

Main lines, by intensity (10° ≤ 2θ ≤ 90°):
27.46 deg, I 1000; 39.03 deg, I 262; 39.42 deg, I 250; 48.60 deg, I 139; 56.67 deg, I 130; 39.28 deg, I 129; 39.15 deg, I 128; 63.84 deg, I 122; 64.38 deg, I 114; 71.34 deg, I 84; 22.64 deg, I 83; 13.63 deg, I 77


Li2AcLa2Tl2: theoretical X-ray powder pattern (Cu Kα (λ = 1.5418 Å)), based on a crystal structure in Alexandria, relaxed with GGA-PBE.

Atomic structure:
```
7
Lattice="2.468 1.425 9.614 -2.468 1.425 9.614 0.000 -2.850 9.614" Properties=species:S:1:pos:R:3 pbc="T T T"
Li 0.000 0.000 2.463
Li 0.000 0.000 26.378
Ac 0.000 0.000 14.420
La 0.000 0.000 10.414
La 0.000 0.000 18.427
Tl 0.000 0.000 6.935
Tl 0.000 0.000 21.906
```

Main lines, by intensity (10° ≤ 2θ ≤ 90°):
32.49 deg, I 1000; 36.41 deg, I 992; 30.13 deg, I 875; 21.01 deg, I 642; 24.21 deg, I 403; 61.10 deg, I 327; 49.58 deg, I 311; 63.05 deg, I 305; 47.95 deg, I 246; 61.67 deg, I 233; 21.68 deg, I 215; 65.51 deg, I 182


AcLaNdLu: theoretical X-ray powder pattern (Cu Kα (λ = 1.5418 Å)), based on a crystal structure in Alexandria, relaxed with GGA-PBE.

Atomic structure:
```
16
Lattice="8.398 0.000 0.000 0.000 8.398 0.000 0.000 0.000 8.398" Properties=species:S:1:pos:R:3 pbc="T T T"
Ac 0.000 0.000 0.000
Ac 0.000 4.199 4.199
Ac 4.199 0.000 4.199
Ac 4.199 4.199 0.000
La 2.099 2.099 6.298
La 2.099 6.298 2.099
La 6.298 2.099 2.099
La 6.298 6.298 6.298
Nd 2.099 2.099 2.099
Nd 2.099 6.298 6.298
Nd 6.298 2.099 6.298
Nd 6.298 6.298 2.099
Lu 0.000 0.000 4.199
Lu 0.000 4.199 0.000
Lu 4.199 0.000 0.000
Lu 4.199 4.199 4.199
```

Main lines, by intensity (10° ≤ 2θ ≤ 90°):
30.10 deg, I 1000; 53.45 deg, I 406; 86.78 deg, I 212; 43.09 deg, I 190; 70.98 deg, I 175; 62.57 deg, I 127; 78.99 deg, I 44; 21.16 deg, I 31; 48.48 deg, I 16; 37.08 deg, I 11; 18.30 deg, I 10; 66.84 deg, I 8


AcLa2Mg2: theoretical X-ray powder pattern (Cu Kα (λ = 1.5418 Å)), based on a crystal structure in Alexandria, relaxed with GGA-PBE.

Atomic structure:
```
10
Lattice="4.066 0.000 0.000 0.000 21.194 0.000 0.000 0.000 3.955" Properties=species:S:1:pos:R:3 pbc="T T T"
Ac 0.000 0.000 0.000
Ac 2.033 10.597 0.000
La 0.000 3.959 0.000
La 0.000 17.235 0.000
La 2.033 6.638 0.000
La 2.033 14.556 0.000
Mg 0.000 8.506 1.978
Mg 0.000 12.688 1.978
Mg 2.033 2.091 1.978
Mg 2.033 19.103 1.978
```

Main lines, by intensity (10° ≤ 2θ ≤ 90°):
30.46 deg, I 1000; 31.84 deg, I 884; 22.48 deg, I 758; 38.19 deg, I 705; 22.26 deg, I 634; 34.03 deg, I 597; 25.21 deg, I 416; 56.08 deg, I 360; 57.86 deg, I 328; 28.15 deg, I 293; 57.23 deg, I 266; 16.73 deg, I 224


AcLa14Mg: theoretical X-ray powder pattern (Cu Kα (λ = 1.5418 Å)), based on a crystal structure in Alexandria, relaxed with GGA-PBE.

Atomic structure:
```
16
Lattice="10.560 0.000 0.000 0.000 5.240 5.240 0.000 -5.240 5.240" Properties=species:S:1:pos:R:3 pbc="T T T"
Ac 0.000 0.000 0.000
La 0.000 -2.615 7.860
La 0.000 2.615 7.860
La 2.624 0.000 2.678
La 2.629 -2.560 5.241
La 2.629 2.560 5.241
La 2.636 0.000 7.805
La 5.280 0.000 0.004
La 5.280 -2.616 2.621
La 5.280 2.616 2.621
La 5.280 0.000 5.239
La 7.924 0.000 7.805
La 7.936 0.000 2.678
La 7.931 -2.560 5.241
La 7.931 2.560 5.241
Mg 0.000 0.000 5.241
```

Main lines, by intensity (10° ≤ 2θ ≤ 90°):
29.45 deg, I 1000; 34.22 deg, I 335; 58.37 deg, I 286; 48.98 deg, I 244; 33.96 deg, I 172; 58.01 deg, I 147; 61.11 deg, I 125; 49.18 deg, I 120; 79.43 deg, I 117; 79.74 deg, I 57; 81.68 deg, I 55; 82.14 deg, I 53


AcLa7Mg4: theoretical X-ray powder pattern (Cu Kα (λ = 1.5418 Å)), based on a crystal structure in Alexandria, relaxed with GGA-PBE.

Atomic structure:
```
12
Lattice="7.839 -3.074 0.000 7.839 3.074 0.000 -5.212 0.000 8.580" Properties=species:S:1:pos:R:3 pbc="T T T"
Ac 0.000 0.000 0.000
La -0.971 0.000 3.599
La -1.486 0.000 7.567
La 2.536 0.000 2.534
La 7.839 0.000 0.000
La 7.931 0.000 6.046
La 11.953 0.000 1.013
La 11.438 0.000 4.981
Mg 1.624 0.000 5.634
Mg 5.725 0.000 2.651
Mg 4.742 0.000 5.929
Mg 8.843 0.000 2.946
```

Main lines, by intensity (10° ≤ 2θ ≤ 90°):
29.05 deg, I 1000; 32.80 deg, I 776; 30.65 deg, I 751; 28.85 deg, I 710; 28.65 deg, I 585; 22.94 deg, I 546; 30.00 deg, I 545; 15.86 deg, I 515; 41.25 deg, I 438; 42.25 deg, I 431; 37.34 deg, I 313; 26.61 deg, I 291


Ac12La3Mg: theoretical X-ray powder pattern (Cu Kα (λ = 1.5418 Å)), based on a crystal structure in Alexandria, relaxed with GGA-PBE.

Atomic structure:
```
16
Lattice="5.522 0.000 0.000 0.000 5.522 0.000 0.000 0.000 22.173" Properties=species:S:1:pos:R:3 pbc="T T T"
Ac 0.000 0.000 0.000
Ac 0.000 0.000 5.481
Ac 0.000 0.000 11.086
Ac 0.000 0.000 16.692
Ac 0.000 2.761 2.712
Ac 0.000 2.761 8.282
Ac 0.000 2.761 13.891
Ac 0.000 2.761 19.461
Ac 2.761 0.000 2.712
Ac 2.761 0.000 8.282
Ac 2.761 0.000 13.891
Ac 2.761 0.000 19.461
La 2.761 2.761 5.470
La 2.761 2.761 11.086
La 2.761 2.761 16.703
Mg 2.761 2.761 0.000
```

Main lines, by intensity (10° ≤ 2θ ≤ 90°):
27.95 deg, I 1000; 46.45 deg, I 384; 32.43 deg, I 343; 55.14 deg, I 313; 32.30 deg, I 171; 54.98 deg, I 154; 57.76 deg, I 135; 74.81 deg, I 126; 77.23 deg, I 118; 86.23 deg, I 91; 74.95 deg, I 64; 76.99 deg, I 57


AcLa7Mg2: theoretical X-ray powder pattern (Cu Kα (λ = 1.5418 Å)), based on a crystal structure in Alexandria, relaxed with GGA-PBE.

Atomic structure:
```
10
Lattice="8.958 0.000 0.000 0.000 3.554 0.000 -4.437 0.000 11.166" Properties=species:S:1:pos:R:3 pbc="T T T"
Ac 0.000 0.000 0.000
La -2.218 1.777 5.583
La -1.923 1.777 8.919
La 0.667 1.777 3.558
La 0.824 0.000 7.018
La 3.698 0.000 4.147
La 3.855 1.777 7.607
La 6.445 1.777 2.247
Mg 3.163 1.777 1.089
Mg 1.359 1.777 10.076
```

Main lines, by intensity (10° ≤ 2θ ≤ 90°):
29.58 deg, I 1000; 30.21 deg, I 766; 29.76 deg, I 717; 31.19 deg, I 614; 10.63 deg, I 401; 33.15 deg, I 359; 32.15 deg, I 291; 36.08 deg, I 285; 27.29 deg, I 274; 60.80 deg, I 269; 15.45 deg, I 250; 45.71 deg, I 244


Ac2La15Mg2: theoretical X-ray powder pattern (Cu Kα (λ = 1.5418 Å)), based on a crystal structure in Alexandria, relaxed with GGA-PBE.

Atomic structure:
```
19
Lattice="5.826 3.363 5.983 -5.826 3.363 5.983 0.000 -6.727 5.983" Properties=species:S:1:pos:R:3 pbc="T T T"
Ac 0.000 0.000 3.283
Ac 0.000 0.000 14.667
La -2.913 -1.682 5.983
La 0.000 -3.552 5.557
La -3.076 1.776 5.557
La -1.705 -2.952 8.975
La -3.409 0.000 8.975
La -3.076 -1.776 12.393
La -2.913 1.682 11.967
La 1.705 -2.952 8.975
La 0.000 3.363 5.983
La -1.705 2.952 8.975
La 3.076 1.776 5.557
La 3.409 0.000 8.975
La 1.705 2.952 8.975
La 3.076 -1.776 12.393
La 0.000 3.552 12.393
Mg 0.000 0.000 7.320
Mg 0.000 0.000 10.630
```

Main lines, by intensity (10° ≤ 2θ ≤ 90°):
30.51 deg, I 1000; 30.70 deg, I 316; 34.24 deg, I 291; 29.87 deg, I 256; 26.53 deg, I 224; 54.54 deg, I 206; 25.38 deg, I 186; 21.29 deg, I 136; 49.34 deg, I 117; 53.40 deg, I 110; 43.36 deg, I 102; 43.82 deg, I 99